Record 1
This entry pairs a crystal structure of K4AlBr7 with its theoretical XRD peak list. Radiation: Cu Kα (λ = 1.5418 Å). Structure: a GGA-PBE-relaxed structure.
Intensities are scaled so that the largest is 100.

Structural model:
```
12
Lattice="7.305 -3.373 0.000 7.305 3.373 0.000 -3.443 0.000 9.489" Properties=species:S:1:pos:R:3 pbc="T T T"
K 0.464 0.000 2.572
K 5.124 -0.076 0.287
K 6.043 -0.076 9.203
K 10.703 0.000 6.918
Al 5.584 -0.011 4.745
Br -1.466 -0.085 9.233
Br 5.584 2.323 4.745
Br 3.805 -0.026 6.807
Br 3.987 -1.113 3.427
Br 7.363 -0.026 2.682
Br 7.181 -1.113 6.062
Br 12.633 -0.085 0.257
```

Peak list (10 most intense, 5° ≤ 2θ ≤ 70°, by angle)
d = 6.867 Å, rel. 73; d = 3.489 Å, rel. 76; d = 3.434 Å, rel. 57; d = 3.373 Å, rel. 100; d = 3.338 Å, rel. 84; d = 3.178 Å, rel. 54; d = 2.925 Å, rel. 69; d = 2.863 Å, rel. 96; d = 2.746 Å, rel. 87; d = 2.678 Å, rel. 54

=====

Record 2
This entry pairs a crystal structure of NaPm3Th2Te6 with its theoretical XRD peak list. Radiation: Cu Kα (λ = 1.5418 Å). Structure: a GGA-PBE-relaxed structure.
Intensities are scaled so that the largest is 100.

Structural model:
```
12
Lattice="9.788 -2.222 0.000 9.788 2.222 0.000 -2.186 0.000 8.742" Properties=species:S:1:pos:R:3 pbc="T T T"
Na 0.000 0.000 0.000
Pm -1.093 0.000 4.371
Pm 6.160 0.000 1.471
Pm 11.229 0.000 7.270
Th 4.982 0.000 5.670
Th 12.408 0.000 3.072
Te 1.881 0.000 5.172
Te 3.050 0.000 0.770
Te 8.077 0.000 6.557
Te 9.313 0.000 2.185
Te 14.340 0.000 7.972
Te 15.509 0.000 3.570
```

Peak list (10 most intense, 5° ≤ 2θ ≤ 70°, by angle)
d = 9.496 Å, rel. 7; d = 8.742 Å, rel. 7; d = 3.164 Å, rel. 100; d = 2.249 Å, rel. 38; d = 2.226 Å, rel. 37; d = 1.847 Å, rel. 7; d = 1.819 Å, rel. 14; d = 1.582 Å, rel. 12; d = 1.420 Å, rel. 12; d = 1.410 Å, rel. 11

=====

Record 3
This entry pairs a crystal structure of TiCd3Au12 with its theoretical XRD peak list. Radiation: Cu Kα (λ = 1.5418 Å). Structure: a GGA-PBE-relaxed structure.
Intensities are scaled so that the largest is 100.

Structural model:
```
16
Lattice="4.209 0.000 0.000 0.000 4.209 0.000 0.000 0.000 16.605" Properties=species:S:1:pos:R:3 pbc="T T T"
Ti 0.000 0.000 0.000
Cd 0.000 0.000 4.097
Cd 0.000 0.000 8.303
Cd 0.000 0.000 12.508
Au 0.000 2.105 1.960
Au 0.000 2.105 6.191
Au 0.000 2.105 10.414
Au 0.000 2.105 14.645
Au 2.105 0.000 1.960
Au 2.105 0.000 6.191
Au 2.105 0.000 10.414
Au 2.105 0.000 14.645
Au 2.105 2.105 0.000
Au 2.105 2.105 4.073
Au 2.105 2.105 8.303
Au 2.105 2.105 12.532
```

Peak list (10 most intense, 5° ≤ 2θ ≤ 70°, by angle)
d = 4.209 Å, rel. 4; d = 4.151 Å, rel. 2; d = 2.977 Å, rel. 2; d = 2.956 Å, rel. 4; d = 2.419 Å, rel. 100; d = 2.105 Å, rel. 34; d = 2.076 Å, rel. 15; d = 1.714 Å, rel. 2; d = 1.488 Å, rel. 11; d = 1.478 Å, rel. 21

=====

Record 4
This entry pairs a crystal structure of CsCeGaO4 with its theoretical XRD peak list. Radiation: Cu Kα (λ = 1.5418 Å). Structure: a GGA-PBE-relaxed structure.
Intensities are scaled so that the largest is 100.

Structural model:
```
14
Lattice="5.766 0.000 0.000 0.000 5.923 0.000 -0.562 0.000 7.978" Properties=species:S:1:pos:R:3 pbc="T T T"
Cs 1.267 1.481 0.822
Cs 3.937 4.442 7.156
Ce 0.885 4.442 3.720
Ce 4.319 1.481 4.258
Ga 1.521 1.481 5.278
Ga 3.683 4.442 2.700
O 0.262 0.088 5.274
O 0.262 2.873 5.274
O 2.092 4.442 1.788
O 2.264 1.481 3.529
O 2.940 4.442 4.449
O 3.112 1.481 6.190
O 4.942 3.049 2.704
O 4.942 5.835 2.704
```

Peak list (10 most intense, 5° ≤ 2θ ≤ 70°, by angle)
d = 7.978 Å, rel. 70; d = 3.743 Å, rel. 52; d = 3.592 Å, rel. 100; d = 3.391 Å, rel. 33; d = 3.309 Å, rel. 89; d = 2.961 Å, rel. 71; d = 2.876 Å, rel. 37; d = 2.111 Å, rel. 35; d = 2.063 Å, rel. 32; d = 1.833 Å, rel. 33

=====

Record 5
This entry pairs a crystal structure of DyAl3Ag3 with its theoretical XRD peak list. Radiation: Cu Kα (λ = 1.5418 Å). Structure: a GGA-PBE-relaxed structure.
Intensities are scaled so that the largest is 100.

Structural model:
```
14
Lattice="4.031 2.327 5.242 -4.031 2.327 5.242 0.000 -4.655 5.242" Properties=species:S:1:pos:R:3 pbc="T T T"
Dy 0.000 0.000 2.798
Dy 0.000 0.000 12.926
Al -2.663 0.052 5.932
Al -1.376 -2.280 9.793
Al 1.286 -2.332 5.932
Al -1.286 2.332 9.793
Al 1.376 2.280 5.932
Al 2.663 -0.052 9.793
Ag -1.133 -2.038 7.042
Ag -2.331 -0.038 8.683
Ag -1.199 2.000 7.042
Ag 1.199 -2.000 8.683
Ag 2.331 0.038 7.042
Ag 1.133 2.038 8.683
```

Peak list (10 most intense, 5° ≤ 2θ ≤ 70°, by angle)
d = 5.240 Å, rel. 87; d = 3.408 Å, rel. 22; d = 3.194 Å, rel. 100; d = 2.603 Å, rel. 17; d = 2.502 Å, rel. 22; d = 2.327 Å, rel. 94; d = 2.197 Å, rel. 91; d = 2.127 Å, rel. 35; d = 2.022 Å, rel. 16; d = 1.598 Å, rel. 23

=====

Record 6
This entry pairs a crystal structure of La2RhPb3 with its theoretical XRD peak list. Radiation: Cu Kα (λ = 1.5418 Å). Structure: a GGA-PBE-relaxed structure.
Intensities are scaled so that the largest is 100.

Structural model:
```
6
Lattice="3.973 0.000 0.000 0.000 5.151 0.000 0.000 0.000 8.564" Properties=species:S:1:pos:R:3 pbc="T T T"
La 0.000 0.000 0.000
La 0.000 2.576 3.774
Rh 1.987 0.000 2.157
Pb 1.987 0.000 4.972
Pb 1.987 2.576 1.184
Pb 1.987 2.576 6.686
```

Peak list (10 most intense, 5° ≤ 2θ ≤ 70°, by angle)
d = 3.973 Å, rel. 26; d = 2.953 Å, rel. 100; d = 2.912 Å, rel. 45; d = 2.576 Å, rel. 44; d = 2.497 Å, rel. 60; d = 2.114 Å, rel. 23; d = 1.987 Å, rel. 21; d = 1.929 Å, rel. 28; d = 1.573 Å, rel. 24; d = 1.555 Å, rel. 28

=====

Record 7
This entry pairs a crystal structure of Pu2Ni17 with its theoretical XRD peak list. Radiation: Cu Kα (λ = 1.5418 Å). Structure: a GGA-PBE-relaxed structure.
Intensities are scaled so that the largest is 100.

Structural model:
```
19
Lattice="4.141 2.391 4.021 -4.141 2.391 4.021 0.000 -4.782 4.021" Properties=species:S:1:pos:R:3 pbc="T T T"
Pu 0.000 0.000 1.942
Pu 0.000 0.000 10.120
Ni -2.071 -1.196 4.021
Ni 0.000 -2.396 3.858
Ni -2.075 1.198 3.858
Ni -1.224 -2.121 6.031
Ni -2.449 0.000 6.031
Ni -2.075 -1.198 8.205
Ni 0.000 0.000 4.837
Ni -2.071 1.195 8.042
Ni 1.224 -2.121 6.031
Ni 0.000 2.391 4.021
Ni -1.224 2.121 6.031
Ni 0.000 0.000 7.225
Ni 2.075 1.198 3.858
Ni 2.449 0.000 6.031
Ni 1.224 2.121 6.031
Ni 2.075 -1.198 8.205
Ni 0.000 2.396 8.205
```

Peak list (10 most intense, 5° ≤ 2θ ≤ 70°, by angle)
d = 4.141 Å, rel. 16; d = 2.885 Å, rel. 55; d = 2.391 Å, rel. 47; d = 2.308 Å, rel. 27; d = 2.071 Å, rel. 59; d = 2.055 Å, rel. 100; d = 2.016 Å, rel. 18; d = 2.010 Å, rel. 28; d = 1.459 Å, rel. 20; d = 1.442 Å, rel. 18

=====

Record 8
This entry pairs a crystal structure of AcTiB12 with its theoretical XRD peak list. Radiation: Cu Kα (λ = 1.5418 Å). Structure: a GGA-PBE-relaxed structure.
Intensities are scaled so that the largest is 100.

Structural model:
```
14
Lattice="4.151 0.000 0.000 0.000 4.151 0.000 0.000 0.000 8.250" Properties=species:S:1:pos:R:3 pbc="T T T"
Ac 0.000 0.000 0.000
Ti 0.000 0.000 4.125
B 0.829 2.076 2.110
B 0.829 2.076 6.140
B 2.076 0.829 2.110
B 2.076 0.829 6.140
B 2.076 2.076 0.849
B 2.076 2.076 3.322
B 2.076 2.076 4.928
B 2.076 2.076 7.401
B 2.076 3.322 2.110
B 2.076 3.322 6.140
B 3.322 2.076 2.110
B 3.322 2.076 6.140
```

Peak list (10 most intense, 5° ≤ 2θ ≤ 70°, by angle)
d = 8.250 Å, rel. 62; d = 4.151 Å, rel. 41; d = 4.125 Å, rel. 20; d = 3.708 Å, rel. 45; d = 2.929 Å, rel. 100; d = 2.765 Å, rel. 22; d = 2.392 Å, rel. 43; d = 1.855 Å, rel. 33; d = 1.693 Å, rel. 18; d = 1.380 Å, rel. 17